Diffraction record for Cs3Hg4Bi2. The X-ray diffraction stick pattern is theoretical, not measured: it uses a PBE-relaxed structure and Cu Kα X-rays.
Intensities are scaled so that the largest is 100.

Cell and atoms:
Lattice parameters (Å, degrees): 5.5562 7.1563 10.7128 80.12 89.93 67.20
Space group P-1 (No. 2)
One atom of each set of equivalent atoms:
Cs: 0.0000 0.0000 0.0000 x1
Cs: 0.3847 0.2311 0.6185 x2
Hg: 0.0971 0.8066 0.6444 x2
Hg: 0.2691 0.4616 0.9183 x2
Bi: 0.3036 0.3927 0.2184 x2

The 10 most intense peaks (5 to 70 degrees two-theta), by angle:
2θ = 13.66°, rel. 33.6
2θ = 14.66°, rel. 85.3
2θ = 26.12°, rel. 42.2
2θ = 27.24°, rel. 39.6
2θ = 28.67°, rel. 42.5
2θ = 29.03°, rel. 39.7
2θ = 31.99°, rel. 100.0
2θ = 32.22°, rel. 70.8
2θ = 33.33°, rel. 42.3
2θ = 51.18°, rel. 33.9

=====

Diffraction record for Cs2Hg7Bi. The X-ray diffraction stick pattern is theoretical, not measured: it uses a PBE-relaxed structure and Cu Kα X-rays.
Intensities are scaled so that the largest is 100.

Cell and atoms:
Lattice parameters (Å, degrees): 11.9260 11.9260 11.9260 90.00 90.00 90.00
Space group Fm-3m (No. 225)
One atom of each set of equivalent atoms:
Cs: 0.2500 0.2500 0.2500 x8
Hg: 0.0000 0.0000 0.0000 x4
Hg: 0.0000 0.0000 0.2427 x24
Bi: 0.0000 0.0000 0.5000 x4

The 10 most intense peaks (5 to 70 degrees two-theta), by angle:
2θ = 14.86°, rel. 43.2
2θ = 25.88°, rel. 61.3
2θ = 29.97°, rel. 100.0
2θ = 33.61°, rel. 25.4
2θ = 42.90°, rel. 76.1
2θ = 45.64°, rel. 14.0
2θ = 50.78°, rel. 29.0
2θ = 53.21°, rel. 27.0
2θ = 62.28°, rel. 12.6
2θ = 68.60°, rel. 11.6

=====

Diffraction record for Cs3Hg2Bi. The X-ray diffraction stick pattern is theoretical, not measured: it uses a PBE-relaxed structure and Cu Kα X-rays.
Intensities are scaled so that the largest is 100.

Cell and atoms:
Lattice parameters (Å, degrees): 9.5316 11.5831 12.7399 90.00 101.25 90.00
Space group P2_1/c (No. 14)
One atom of each set of equivalent atoms:
Cs: 0.2113 0.0586 0.4082 x4
Cs: 0.2470 0.6871 0.2285 x4
Cs: 0.2534 0.0636 0.0488 x4
Hg: 0.0717 0.7437 0.4503 x4
Hg: 0.4532 0.0929 0.7120 x4
Bi: 0.1488 0.1509 0.7319 x4

The 10 most intense peaks (5 to 70 degrees two-theta), by angle:
2θ = 16.87°, rel. 36.1
2θ = 18.02°, rel. 60.6
2θ = 22.73°, rel. 96.2
2θ = 22.94°, rel. 46.4
2θ = 24.95°, rel. 86.8
2θ = 26.22°, rel. 70.7
2θ = 26.38°, rel. 100.0
2θ = 26.51°, rel. 76.9
2θ = 28.60°, rel. 43.4
2θ = 30.45°, rel. 46.7

=====

Diffraction record for CsIn2HgBi2. The X-ray diffraction stick pattern is theoretical, not measured: it uses a PBE-relaxed structure and Cu Kα X-rays.
Intensities are scaled so that the largest is 100.

Cell and atoms:
Lattice parameters (Å, degrees): 5.4011 5.4011 8.7679 90.00 90.00 120.00
Space group P-3m1 (No. 164)
One atom of each set of equivalent atoms:
Cs: 0.0000 0.0000 0.0000 x1
In: 0.3333 0.6667 0.3601 x2
Hg: 0.0000 0.0000 0.5000 x1
Bi: 0.3333 0.6667 0.7131 x2

The 10 most intense peaks (5 to 70 degrees two-theta), by angle:
2θ = 10.09°, rel. 52.4
2θ = 21.53°, rel. 23.5
2θ = 27.89°, rel. 94.5
2θ = 33.17°, rel. 100.0
2θ = 34.76°, rel. 18.4
2θ = 36.24°, rel. 38.6
2θ = 43.88°, rel. 28.1
2θ = 45.73°, rel. 25.9
2θ = 56.08°, rel. 33.0
2θ = 59.27°, rel. 19.1

=====

Diffraction record for Cs2KHgBi2. The X-ray diffraction stick pattern is theoretical, not measured: it uses a PBE-relaxed structure and Cu Kα X-rays.
Intensities are scaled so that the largest is 100.

Cell and atoms:
Lattice parameters (Å, degrees): 8.4923 16.8054 8.0555 90.00 90.00 90.00
Space group Ibam (No. 72)
One atom of each set of equivalent atoms:
Cs: 0.2293 0.1671 0.0000 x8
K: 0.0000 0.5000 0.2500 x4
Hg: 0.0000 0.0000 0.2500 x4
Bi: 0.1991 0.0920 0.5000 x8

The 10 most intense peaks (5 to 70 degrees two-theta), by angle:
2θ = 10.53°, rel. 54.4
2θ = 11.68°, rel. 90.6
2θ = 22.07°, rel. 26.4
2θ = 26.12°, rel. 100.0
2θ = 29.92°, rel. 46.5
2θ = 30.59°, rel. 86.2
2θ = 30.75°, rel. 52.5
2θ = 39.25°, rel. 41.3
2θ = 41.30°, rel. 29.8
2θ = 45.91°, rel. 31.3

=====

Diffraction record for Cs2HgBi2Sb2. The X-ray diffraction stick pattern is theoretical, not measured: it uses a PBE-relaxed structure and Cu Kα X-rays.
Intensities are scaled so that the largest is 100.

Cell and atoms:
Lattice parameters (Å, degrees): 13.8453 5.6083 8.2597 90.00 107.94 90.00
Space group C2/m (No. 12)
One atom of each set of equivalent atoms:
Cs: 0.1231 0.0000 0.2725 x4
Hg: 0.0000 0.5000 0.5000 x2
Bi: 0.1308 0.5000 0.9083 x4
Sb: 0.1774 0.0000 0.7886 x4

The 10 most intense peaks (5 to 70 degrees two-theta), by angle:
2θ = 14.65°, rel. 45.7
2θ = 25.51°, rel. 100.0
2θ = 26.81°, rel. 29.0
2θ = 29.85°, rel. 36.9
2θ = 30.00°, rel. 26.8
2θ = 30.21°, rel. 50.0
2θ = 31.91°, rel. 53.3
2θ = 32.56°, rel. 25.7
2θ = 44.26°, rel. 25.5
2θ = 46.24°, rel. 20.8

=====

Diffraction record for Cs2SnHgBi. The X-ray diffraction stick pattern is theoretical, not measured: it uses a PBE-relaxed structure and Cu Kα X-rays.
Intensities are scaled so that the largest is 100.

Cell and atoms:
Lattice parameters (Å, degrees): 10.9201 4.7855 11.0178 90.00 114.36 90.00
Space group P2_1/m (No. 11)
One atom of each set of equivalent atoms:
Cs: 0.1161 0.2500 0.3839 x2
Cs: 0.3811 0.7500 0.1243 x2
Sn: 0.2233 0.2500 0.8185 x2
Hg: 0.0106 0.2500 0.9240 x2
Bi: 0.2906 0.7500 0.6948 x2

The 10 most intense peaks (5 to 70 degrees two-theta), by angle:
2θ = 8.85°, rel. 65.3
2θ = 14.90°, rel. 23.9
2θ = 24.56°, rel. 44.4
2θ = 25.72°, rel. 100.0
2θ = 25.84°, rel. 43.1
2θ = 30.06°, rel. 40.0
2θ = 34.70°, rel. 65.8
2θ = 37.59°, rel. 27.7
2θ = 46.75°, rel. 25.1
2θ = 48.87°, rel. 22.9

=====

Diffraction record for CsTlHg2Bi. The X-ray diffraction stick pattern is theoretical, not measured: it uses a PBE-relaxed structure and Cu Kα X-rays.
Intensities are scaled so that the largest is 100.

Cell and atoms:
Lattice parameters (Å, degrees): 5.2007 5.4978 12.9046 90.00 90.00 90.00
Space group Imm2 (No. 44)
One atom of each set of equivalent atoms:
Cs: 0.0000 0.0000 0.0000 x2
Tl: 0.0000 0.5000 0.7374 x2
Hg: 0.0000 0.0000 0.6159 x2
Hg: 0.0000 0.5000 0.2452 x2
Bi: 0.0000 0.0000 0.3796 x2

The 10 most intense peaks (5 to 70 degrees two-theta), by angle:
2θ = 13.72°, rel. 20.5
2θ = 26.31°, rel. 21.2
2θ = 26.90°, rel. 27.3
2θ = 27.35°, rel. 100.0
2θ = 32.57°, rel. 44.2
2θ = 34.49°, rel. 38.0
2θ = 36.63°, rel. 66.2
2θ = 38.53°, rel. 17.4
2θ = 42.73°, rel. 15.9
2θ = 48.17°, rel. 30.1

=====

Diffraction record for Cs3BiI6. The X-ray diffraction stick pattern is theoretical, not measured: it uses a PBE-relaxed structure and Cu Kα X-rays.
Intensities are scaled so that the largest is 100.

Cell and atoms:
Lattice parameters (Å, degrees): 9.0873 9.7187 15.4487 90.00 123.87 90.00
Space group P2_1/c (No. 14)
One atom of each set of equivalent atoms:
Cs: 0.0000 0.0000 0.0000 x2
Cs: 0.2100 0.0779 0.7418 x4
Bi: 0.5000 0.0000 0.5000 x2
I: 0.1733 0.1747 0.4493 x4
I: 0.2642 0.7349 0.4247 x4
I: 0.4051 0.0546 0.2761 x4

The 10 most intense peaks (5 to 70 degrees two-theta), by angle:
2θ = 11.42°, rel. 48.0
2θ = 13.34°, rel. 44.6
2θ = 18.98°, rel. 50.9
2θ = 19.52°, rel. 55.7
2θ = 22.94°, rel. 44.0
2θ = 26.87°, rel. 75.8
2θ = 27.81°, rel. 54.4
2θ = 30.00°, rel. 80.7
2θ = 33.53°, rel. 100.0
2θ = 34.51°, rel. 43.9

=====

Diffraction record for Cs2BiI6. The X-ray diffraction stick pattern is theoretical, not measured: it uses a PBE-relaxed structure and Cu Kα X-rays.
Intensities are scaled so that the largest is 100.

Cell and atoms:
Lattice parameters (Å, degrees): 8.5472 8.5472 13.9260 90.00 90.00 120.00
Space group P6_3mc (No. 186)
One atom of each set of equivalent atoms:
Cs: 0.0000 0.0000 0.0000 x2
Cs: 0.3333 0.6667 0.2450 x2
Bi: 0.3333 0.6667 0.6237 x2
I: 0.0001 0.5000 0.4954 x6
I: 0.1570 0.3139 0.7446 x6

The 10 most intense peaks (5 to 70 degrees two-theta), by angle:
2θ = 13.55°, rel. 22.9
2θ = 24.89°, rel. 23.3
2θ = 25.59°, rel. 21.9
2θ = 27.29°, rel. 100.0
2θ = 30.90°, rel. 39.4
2θ = 40.54°, rel. 20.0
2θ = 42.30°, rel. 37.3
2θ = 46.16°, rel. 23.2
2θ = 50.09°, rel. 19.1
2θ = 51.07°, rel. 18.1

=====

Diffraction record for Cs6Bi3I14. The X-ray diffraction stick pattern is theoretical, not measured: it uses a PBE-relaxed structure and Cu Kα X-rays.
Intensities are scaled so that the largest is 100.

Cell and atoms:
Lattice parameters (Å, degrees): 14.4682 14.4682 6.9502 90.00 90.00 120.00
Space group P3 (No. 143)
One atom of each set of equivalent atoms:
Cs: 0.0299 0.5604 0.0000 x3
Cs: 0.3038 0.1081 0.4915 x3
Bi: 0.0000 0.0000 0.8685 x1
Bi: 0.3333 0.6667 0.3709 x1
Bi: 0.6667 0.3333 0.7474 x1
I: 0.0000 0.0000 0.3419 x1
I: 0.0845 0.8497 0.8218 x3
I: 0.1810 0.4321 0.3239 x3
I: 0.3333 0.6667 0.8450 x1
I: 0.4571 0.2008 0.9852 x3
I: 0.5351 0.4114 0.5091 x3

The 10 most intense peaks (5 to 70 degrees two-theta), by angle:
2θ = 12.24°, rel. 57.5
2θ = 14.57°, rel. 40.5
2θ = 22.72°, rel. 38.2
2θ = 24.61°, rel. 55.8
2θ = 24.87°, rel. 100.0
2θ = 25.63°, rel. 55.5
2θ = 28.49°, rel. 40.9
2θ = 28.72°, rel. 46.6
2θ = 29.39°, rel. 32.6
2θ = 32.75°, rel. 31.8

=====

Diffraction record for Cs2BiSeI6. The X-ray diffraction stick pattern is theoretical, not measured: it uses a PBE-relaxed structure and Cu Kα X-rays.
Intensities are scaled so that the largest is 100.

Cell and atoms:
Lattice parameters (Å, degrees): 8.8227 8.8227 12.0527 90.00 90.00 90.00
Space group I4/mmm (No. 139)
One atom of each set of equivalent atoms:
Cs: 0.0000 0.5000 0.2500 x4
Bi: 0.0000 0.0000 0.0000 x2
Se: 0.0000 0.0000 0.5000 x2
I: 0.0000 0.0000 0.2578 x4
I: 0.2488 0.2488 0.0000 x8

The 10 most intense peaks (5 to 70 degrees two-theta), by angle:
2θ = 14.20°, rel. 23.6
2θ = 20.49°, rel. 23.2
2θ = 25.02°, rel. 88.8
2θ = 28.62°, rel. 100.0
2θ = 29.65°, rel. 45.3
2θ = 40.92°, rel. 37.8
2θ = 41.68°, rel. 71.2
2θ = 48.56°, rel. 27.9
2θ = 51.34°, rel. 38.6
2θ = 67.10°, rel. 17.4

=====

Diffraction record for Cs2SiBiI6. The X-ray diffraction stick pattern is theoretical, not measured: it uses a PBE-relaxed structure and Cu Kα X-rays.
Intensities are scaled so that the largest is 100.

Cell and atoms:
Lattice parameters (Å, degrees): 8.6051 8.6051 12.1960 90.00 90.00 90.00
Space group I4/mmm (No. 139)
One atom of each set of equivalent atoms:
Cs: 0.0000 0.5000 0.2500 x4
Si: 0.0000 0.0000 0.0000 x2
Bi: 0.0000 0.0000 0.5000 x2
I: 0.0000 0.0000 0.2403 x4
I: 0.2401 0.2401 0.0000 x8

The 10 most intense peaks (5 to 70 degrees two-theta), by angle:
2θ = 14.55°, rel. 17.9
2θ = 20.63°, rel. 18.7
2θ = 24.24°, rel. 15.1
2θ = 25.33°, rel. 75.7
2θ = 29.34°, rel. 100.0
2θ = 32.04°, rel. 13.3
2θ = 41.97°, rel. 74.0
2θ = 49.66°, rel. 33.3
2θ = 52.03°, rel. 25.9
2θ = 69.01°, rel. 21.8